Entry 1:
# XeF4
Theoretical PXRD pattern, Cu Kα. Input: a structure optimized by DFT (PBE).
Kinematic intensities with the Lorentz-polarization factor, no thermal factor.

Cell and atoms:
```
XeF4
1.0
5.2734 0.0000 0.0000
0.0000 5.9896 0.0000
-4.2497 0.0000 5.9000
Xe F
2 8
Cartesian
0.0000 0.0000 0.0000 Xe
-2.1249 2.9948 2.9500 Xe
-1.0204 0.0527 1.7699 F
-3.1453 2.9421 4.7199 F
-0.5554 3.8978 3.8908 F
1.5695 5.0866 0.9408 F
-0.5458 0.9030 4.9592 F
1.5791 2.0918 2.0092 F
4.1690 3.0475 1.1801 F
2.0441 5.9369 4.1301 F
```

Main lines, sorted by position (2θ from 10° to 90°):
- 20.76°, I = 54
- 21.14°, I = 100
- 22.66°, I = 80
- 24.69°, I = 30
- 29.83°, I = 31
- 36.63°, I = 45
- 40.56°, I = 32
- 43.08°, I = 24

=====

Entry 2:
# BaAs2Rh2
Theoretical PXRD pattern, Cu Kα. Input: a structure optimized by DFT (PBE).
Kinematic intensities with the Lorentz-polarization factor, no thermal factor.

Cell and atoms:
```
BaAs2Rh2
1.0
-2.0493 2.0493 6.5309
2.0493 -2.0493 6.5309
2.0493 2.0493 -6.5309
Ba As Rh
1 2 2
Cartesian
0.0000 0.0000 0.0000 Ba
0.0000 0.0000 4.6533 As
0.0000 0.0000 8.4085 As
2.0493 0.0000 3.2654 Rh
0.0000 2.0493 3.2654 Rh
```

Main lines, sorted by position (2θ from 10° to 90°):
- 13.56°, I = 32
- 29.94°, I = 100
- 33.84°, I = 92
- 41.67°, I = 26
- 44.19°, I = 57
- 52.58°, I = 54
- 54.30°, I = 37
- 87.61°, I = 25

=====

Entry 3:
# Ge3Te6As2
Theoretical PXRD pattern, Cu Kα. Input: a structure optimized by DFT (PBE).
Kinematic intensities with the Lorentz-polarization factor, no thermal factor.

Cell and atoms:
```
Ge3Te6As2
1.0
2.0898 1.2065 20.4441
-2.0898 1.2065 20.4441
0.0000 -2.4131 20.4441
Ge Te As
3 6 2
Cartesian
0.0000 0.0000 0.0000 Ge
0.0000 0.0000 16.8510 Ge
0.0000 0.0000 44.4812 Ge
0.0000 0.0000 5.2776 Te
0.0000 0.0000 11.7661 Te
0.0000 0.0000 22.1989 Te
0.0000 0.0000 39.1333 Te
0.0000 0.0000 49.5661 Te
0.0000 0.0000 56.0546 Te
0.0000 0.0000 27.6240 As
0.0000 0.0000 33.7082 As
```

Main lines, sorted by position (2θ from 10° to 90°):
- 29.42°, I = 100
- 40.86°, I = 26
- 43.30°, I = 40
- 44.62°, I = 11
- 53.21°, I = 19
- 70.93°, I = 16
- 71.44°, I = 11
- 77.78°, I = 13

=====

Entry 4:
# MgNbCu3S4
Theoretical PXRD pattern, Cu Kα. Input: a structure optimized by DFT (PBE).
Kinematic intensities with the Lorentz-polarization factor, no thermal factor.

Cell and atoms:
```
MgNbCu3S4
1.0
5.5914 0.0000 0.0000
0.0000 5.5914 0.0000
0.0000 0.0000 5.5914
Mg Nb Cu S
1 1 3 4
Cartesian
0.0000 0.0000 0.0000 Mg
2.7957 2.7957 2.7957 Nb
0.0000 2.7957 2.7957 Cu
2.7957 0.0000 2.7957 Cu
2.7957 2.7957 0.0000 Cu
1.4119 1.4119 4.1795 S
1.4119 4.1795 1.4119 S
4.1795 1.4119 1.4119 S
4.1795 4.1795 4.1795 S
```

Main lines, sorted by position (2θ from 10° to 90°):
- 15.85°, I = 75
- 27.63°, I = 50
- 32.01°, I = 26
- 35.91°, I = 37
- 45.91°, I = 100
- 48.87°, I = 19
- 54.42°, I = 19
- 84.98°, I = 31

=====

Entry 5:
# Te2W2SeS
Theoretical PXRD pattern, Cu Kα. Input: a structure optimized by DFT (PBE).
Kinematic intensities with the Lorentz-polarization factor, no thermal factor.

Cell and atoms:
```
Te2W2SeS
1.0
3.3966 0.0000 0.0000
-1.6983 2.9415 0.0000
0.0000 0.0000 38.8507
Te W Se S
4 4 2 2
Cartesian
0.0000 0.0000 0.0000 Te
0.0000 0.0000 3.7669 Te
0.0000 1.9610 31.5476 Te
0.0000 1.9610 35.3144 Te
0.0000 0.0000 18.8362 W
0.0000 0.0000 33.4316 W
0.0000 1.9610 1.8846 W
0.0000 1.9610 26.1345 W
0.0000 0.0000 24.4792 Se
0.0000 0.0000 27.7894 Se
0.0000 1.9610 17.3284 S
0.0000 1.9610 20.3439 S
```

Main lines, sorted by position (2θ from 10° to 90°):
- 11.39°, I = 100
- 13.68°, I = 19
- 30.41°, I = 39
- 35.69°, I = 81
- 36.99°, I = 19
- 43.15°, I = 46
- 44.91°, I = 16
- 54.01°, I = 30

=====

Entry 6:
# MgTi2O4
Theoretical PXRD pattern, Cu Kα. Input: a structure optimized by DFT (PBE).
Kinematic intensities with the Lorentz-polarization factor, no thermal factor.

Cell and atoms:
```
MgTi2O4
1.0
9.2767 0.0000 0.0000
0.0000 2.8598 0.0000
0.0000 0.0000 10.5826
Mg Ti O
4 8 16
Cartesian
2.2976 0.7149 1.6542 Mg
2.3408 2.1448 6.9455 Mg
6.9359 0.7149 3.6371 Mg
6.9791 2.1448 8.9284 Mg
0.6046 0.7149 4.0634 Ti
0.7937 0.7149 9.5469 Ti
3.8447 2.1448 4.2556 Ti
4.0337 2.1448 9.3547 Ti
5.2429 0.7149 1.2279 Ti
5.4320 0.7149 6.3270 Ti
8.4830 2.1448 1.0357 Ti
8.6721 2.1448 6.5192 Ti
0.2393 2.1448 8.2681 O
0.8967 0.7149 6.0615 O
1.1819 2.1448 0.4226 O
1.9816 2.1448 3.3267 O
2.6567 0.7149 8.6180 O
3.4564 0.7149 5.7139 O
3.7416 2.1448 0.7702 O
4.3991 0.7149 2.9768 O
4.8776 2.1448 7.6058 O
5.5350 0.7149 9.8124 O
5.8202 2.1448 4.8688 O
6.6199 2.1448 1.9646 O
7.2951 0.7149 7.2559 O
8.0948 0.7149 10.1601 O
8.3800 2.1448 4.5211 O
9.0374 0.7149 2.3145 O
```

Main lines, sorted by position (2θ from 10° to 90°):
- 19.13°, I = 29
- 33.57°, I = 79
- 33.88°, I = 37
- 36.99°, I = 100
- 50.65°, I = 39
- 50.98°, I = 37
- 62.36°, I = 22
- 65.28°, I = 29

=====

Entry 7:
# Bi2AuO5
Theoretical PXRD pattern, Cu Kα. Input: a structure optimized by DFT (PBE).
Kinematic intensities with the Lorentz-polarization factor, no thermal factor.

Cell and atoms:
```
Bi2AuO5
1.0
8.7578 0.0000 0.0000
0.0000 8.7578 0.0000
0.0000 0.0000 5.8781
Bi Au O
8 4 20
Cartesian
0.8971 5.2759 1.4695 Bi
0.8971 7.8607 4.4086 Bi
3.4818 5.2759 4.4086 Bi
3.4818 7.8607 1.4695 Bi
5.2759 0.8971 4.4086 Bi
5.2759 3.4818 1.4695 Bi
7.8607 0.8971 1.4695 Bi
7.8607 3.4818 4.4086 Bi
2.1894 2.1894 0.5500 Au
2.1894 2.1894 3.4891 Au
6.5683 6.5683 2.3891 Au
6.5683 6.5683 5.3281 Au
0.3062 1.4880 3.5708 O
0.3062 2.8909 0.6317 O
1.4880 0.3062 0.6317 O
1.4880 4.0727 3.5708 O
2.1894 6.5683 0.0000 O
2.1894 6.5683 2.9391 O
2.8909 0.3062 3.5708 O
2.8909 4.0727 0.6317 O
4.0727 1.4880 0.6317 O
4.0727 2.8909 3.5708 O
4.6851 5.8669 2.3073 O
4.6851 7.2698 5.2464 O
5.8669 4.6851 5.2464 O
5.8669 8.4516 2.3073 O
6.5683 2.1894 0.0000 O
6.5683 2.1894 2.9391 O
7.2698 4.6851 2.3073 O
7.2698 8.4516 5.2464 O
8.4516 5.8669 5.2464 O
8.4516 7.2698 2.3073 O
```

Main lines, sorted by position (2θ from 10° to 90°):
- 27.36°, I = 100
- 32.12°, I = 17
- 32.33°, I = 56
- 46.37°, I = 15
- 52.09°, I = 19
- 52.20°, I = 21
- 54.31°, I = 15
- 58.92°, I = 21

=====

Entry 8:
# CaGaH4
Theoretical PXRD pattern, Cu Kα. Input: a structure optimized by DFT (PBE).
Kinematic intensities with the Lorentz-polarization factor, no thermal factor.

Cell and atoms:
```
CaGaH4
1.0
6.5927 0.0000 0.0000
0.0000 4.3442 0.0000
-1.2290 0.0000 6.6055
Ca Ga H
2 2 8
Cartesian
0.9631 0.0000 1.2020 Ca
4.4005 2.1721 5.4035 Ca
1.0070 3.3044 4.6709 Ga
4.3566 1.1323 1.9346 Ga
-0.2350 2.3927 4.2064 H
0.6192 0.1284 5.6904 H
1.5496 4.0431 3.3447 H
2.1697 2.3681 5.2315 H
3.1940 0.1960 1.3740 H
3.8140 1.8710 3.2608 H
4.7445 2.3005 0.9152 H
5.5986 0.2206 2.3991 H
```

Main lines, sorted by position (2θ from 10° to 90°):
- 24.53°, I = 88
- 24.67°, I = 100
- 26.98°, I = 59
- 27.52°, I = 46
- 27.99°, I = 22
- 34.91°, I = 24
- 45.36°, I = 32
- 46.97°, I = 31